# Ga6FeTc
Simulated powder diffraction line list, Cu Ka. Input: a cell relaxed with PBE.
Kinematic intensities with the Lorentz-polarization factor, no thermal factor.

Atomic structure:
Cell: 8.2731 8.2731 6.6227 Å, 90.00 90.00 120.00°
Space group R-3m (No. 166, hexagonal axes)
One atom of each set of equivalent atoms:
Ga 0.0385 0.5192 0.3053 (multiplicity 18)
Fe 0.0000 0.0000 0.5000 (multiplicity 3)
Tc 0.0000 0.0000 0.0000 (multiplicity 3)

Main lines, by angle (2θ from 5° to 70°):
2θ/deg, intensity, h k l
29.72, 56, 0 1 2
35.82, 59, 2 1 1
36.97, 15, 2 0 2
40.88, 26, 0 0 3
43.15, 92, 1 2 2
43.77, 100, 2 2 0
61.43, 33, 2 2 3
66.80, 15, 0 5 1